Entry 1:
The following is a simulated PXRD pattern of GaNi14Ru. It was derived from a PBE-relaxed structure, using a wavelength of 1.5418 Å.
No peak broadening, texture or thermal motion is included.

Most intense lines, 10 to 90 degrees two-theta, sorted by position:
Position (°2θ)  I/Imax
42.8  251
42.9  507
44.1  565
47.1  514
47.2  1000
53.7  376

Structure:
Lattice parameters (Å, degrees): 8.2201 5.0466 5.0466 59.83 90.00 90.00
Positions (direct):
Ga 0.0000 0.0000 0.0000
Ni 0.0000 0.5017 0.9975
Ni 0.0000 0.9975 0.5017
Ni 0.2527 0.1667 0.1667
Ni 0.2532 0.6660 0.6660
Ni 0.2545 0.1655 0.6646
Ni 0.2545 0.6646 0.1655
Ni 0.5000 0.3324 0.3324
Ni 0.5000 0.3321 0.8331
Ni 0.5000 0.8321 0.8321
Ni 0.5000 0.8331 0.3321
Ni 0.7455 0.1655 0.6646
Ni 0.7455 0.6646 0.1655
Ni 0.7473 0.1667 0.1667
Ni 0.7468 0.6660 0.6660
Ru 0.0000 0.5003 0.5003

=====

Entry 2:
The following is a simulated PXRD pattern of SmCd10Ag2. It was derived from a PBE-relaxed structure, using a wavelength of 1.5418 Å.
No peak broadening, texture or thermal motion is included.

Most intense lines, 10 to 90 degrees two-theta, sorted by position:
Position (°2θ)  I/Imax
31.0  395
35.9  1000
36.0  945
40.3  758
40.5  227
64.6  347

Structure:
Lattice parameters (Å, degrees): 9.9750 7.6366 7.6111 81.72 49.25 49.03
Positions (direct):
Sm 0.0000 0.0000 0.0000
Cd 0.0000 0.5000 0.0000
Cd 0.0069 0.6513 0.3487
Cd 0.2877 0.5036 0.4964
Cd 0.3487 0.9931 0.0069
Cd 0.4964 0.7123 0.2877
Cd 0.5000 0.0000 0.5000
Cd 0.5036 0.2877 0.7123
Cd 0.6513 0.0069 0.9931
Cd 0.7123 0.4964 0.5036
Cd 0.9931 0.3487 0.6513
Ag 0.0000 0.0000 0.5000
Ag 0.5000 0.5000 0.0000

=====

Entry 3:
The following is a simulated PXRD pattern of Mn2FeRh8. It was derived from a PBE-relaxed structure, using a wavelength of 1.5418 Å.
No peak broadening, texture or thermal motion is included.

Most intense lines, 10 to 90 degrees two-theta, sorted by position:
Position (°2θ)  I/Imax
40.7  236
41.3  174
42.3  1000
45.3  269
47.0  175
81.6  138

Structure:
Lattice parameters (Å, degrees): 6.9862 6.9862 6.9862 146.71 122.84 67.78
Positions (direct):
Mn 0.1985 0.1985 0.0000
Mn 0.8015 0.8015 0.0000
Fe 0.5000 0.5000 0.0000
Rh 0.0607 0.3457 0.7149
Rh 0.1950 0.0000 0.1950
Rh 0.3521 0.8521 0.5000
Rh 0.3692 0.6543 0.7149
Rh 0.6308 0.3457 0.2851
Rh 0.6479 0.1479 0.5000
Rh 0.8050 0.0000 0.8050
Rh 0.9393 0.6543 0.2851

=====

Entry 4:
The following is a simulated PXRD pattern of Hf2Ga3Ni4. It was derived from a PBE-relaxed structure, using a wavelength of 1.5418 Å.
No peak broadening, texture or thermal motion is included.

Most intense lines, 10 to 90 degrees two-theta, sorted by position:
Position (°2θ)  I/Imax
36.3  549
37.9  1000
39.3  482
40.9  496
43.7  635
77.1  304

Structure:
Lattice parameters (Å, degrees): 7.6995 7.6995 6.9453 90.00 90.00 140.90
Positions (direct):
Hf 0.1011 0.8989 0.9062
Hf 0.3989 0.6011 0.4062
Hf 0.6011 0.3989 0.5938
Hf 0.8989 0.1011 0.0938
Ga 0.0000 0.0000 0.5000
Ga 0.0144 0.4856 0.7500
Ga 0.4856 0.0144 0.2500
Ga 0.5000 0.5000 0.0000
Ga 0.5144 0.9856 0.7500
Ga 0.9856 0.5144 0.2500
Ni 0.1698 0.8302 0.5182
Ni 0.1834 0.3166 0.7500
Ni 0.3166 0.1834 0.2500
Ni 0.3302 0.6698 0.0182
Ni 0.6698 0.3302 0.9818
Ni 0.6834 0.8166 0.7500
Ni 0.8166 0.6834 0.2500
Ni 0.8302 0.1698 0.4818

=====

Entry 5:
The following is a simulated PXRD pattern of PrNdTm2Sc. It was derived from a PBE-relaxed structure, using a wavelength of 1.5418 Å.
No peak broadening, texture or thermal motion is included.

Most intense lines, 10 to 90 degrees two-theta, sorted by position:
Position (°2θ)  I/Imax
28.7  217
31.8  357
32.9  1000
33.0  458
57.4  210
61.4  212

Structure:
Lattice parameters (Å, degrees): 6.2250 5.6223 9.4635 90.00 108.86 90.00
Positions (direct):
Pr 0.2348 0.2500 0.3060
Pr 0.7652 0.7500 0.6940
Nd 0.3654 0.7500 0.8982
Nd 0.6346 0.2500 0.1018
Tm 0.0316 0.2500 0.8945
Tm 0.4266 0.2500 0.6894
Tm 0.5734 0.7500 0.3106
Tm 0.9684 0.7500 0.1055
Sc 0.1541 0.7500 0.5004
Sc 0.8459 0.2500 0.4996

=====

Entry 6:
The following is a simulated PXRD pattern of CsPaAsO5. It was derived from a PBE-relaxed structure, using a wavelength of 1.5418 Å.
No peak broadening, texture or thermal motion is included.

Most intense lines, 10 to 90 degrees two-theta, sorted by position:
Position (°2θ)  I/Imax
15.2  512
23.3  1000
25.3  708
28.7  876
29.6  533
31.3  373

Structure:
Lattice parameters (Å, degrees): 6.5128 6.5128 8.2598 105.56 105.56 105.79
Positions (direct):
Cs 0.1670 0.8330 0.7500
Cs 0.8330 0.1670 0.2500
Pa 0.5000 0.5000 0.0000
Pa 0.5000 0.5000 0.5000
As 0.1910 0.8090 0.2500
As 0.8090 0.1910 0.7500
O 0.1191 0.2834 0.8836
O 0.2266 0.6243 0.3865
O 0.2834 0.1191 0.3836
O 0.3757 0.7734 0.1135
O 0.4481 0.5519 0.7500
O 0.5519 0.4481 0.2500
O 0.6243 0.2266 0.8865
O 0.7166 0.8809 0.6164
O 0.7734 0.3757 0.6135
O 0.8809 0.7166 0.1164